The following is a simulated powder X-ray diffraction pattern of CrCu2O6. It was derived from a structure optimized by DFT (PBE+U), using Cu Kα X-rays.
No peak broadening, texture or thermal motion is included.

Top 10 peaks for 2θ from 5° to 70°, in order of rising 2θ:
| (hkl) | two_theta | I/Imax |
| --- | --- | --- |
| 1 1 0 | 18.2 | 194 |
| 0 2 0 | 18.5 | 190 |
| 0 0 2 | 19.6 | 143 |
| 1 1 2 | 26.8 | 131 |
| 0 2 2 | 27.0 | 1000 |
| 2 2 0 | 36.9 | 167 |
| 2 0 2 | 37.5 | 200 |
| 2 2 2 | 42.1 | 126 |
| 2 4 2 | 54.0 | 183 |
| 2 2 4 | 55.3 | 150 |

Structure:
```
data_CrCu2O6
_cell_length_a 5.651
_cell_length_b 9.613
_cell_length_c 9.078
_cell_angle_alpha 90.00
_cell_angle_beta 90.00
_cell_angle_gamma 90.00
_space_group_name_H-M_alt 'C m c m'
_space_group_IT_number 63
_space_group_name_Hall '-C 2c 2'
loop_
_atom_site_label
_atom_site_fract_x
_atom_site_fract_y
_atom_site_fract_z
Cr1 0.000 0.039 0.250
Cu1 0.250 0.250 0.000
O1 0.000 0.144 0.089
O2 0.000 0.338 0.582
O3 0.231 0.058 0.750
```